(1)
SmZn5PdPt2: simulated X-ray diffraction stick pattern (Cu Kα, 1.54184 Å), based on DFT lattice parameters and positions (GGA-PBE).
Intensities are scaled so that the largest is 100.

Principal peaks in the range 10 to 90 degrees two-theta, in order of rising 2θ:
(hkl)  2θ (°)  I (rel.)
1 1 0  26.02  46
1 0 2  30.41  63
0 0 3  36.44  29
2 0 0  37.12  100
1 0 3  41.08  24
2 1 2  48.72  34
2 0 3  53.00  45
2 2 0  53.51  35
2 1 3  56.55  23
2 2 3  66.48  25

Crystal structure
```
data_SmZn5PdPt2
_chemical_formula_sum 'Sm1 Zn5 Pd1 Pt2'
_space_group_name_H-M_alt 'P 4/m m m'
_space_group_IT_number 123
_space_group_name_Hall '-P 4 2'
_cell_length_a 4.8435
_cell_length_b 4.8435
_cell_length_c 7.3972
_cell_angle_alpha 90.00
_cell_angle_beta 90.00
_cell_angle_gamma 90.00
loop_
_atom_site_label
_atom_site_fract_x
_atom_site_fract_y
_atom_site_fract_z
Sm1 0.0000 0.0000 0.0000
Zn1 0.0000 0.5000 0.3110
Zn2 0.5000 0.5000 0.0000
Pd1 0.0000 0.0000 0.5000
Pt1 0.5000 0.5000 0.3202
```



(2)
Sn2PdPt6: simulated X-ray diffraction stick pattern (Cu Kα, 1.54184 Å), based on DFT lattice parameters and positions (GGA-PBE).
Intensities are scaled so that the largest is 100.

Principal peaks in the range 10 to 90 degrees two-theta, in order of rising 2θ:
(hkl)  2θ (°)  I (rel.)
0 1 -1  15.93  34
1 2 0  34.64  60
-1 2 1  35.58  65
1 -2 2  37.00  100
2 1 -3  38.88  89
2 1 1  39.70  61
0 2 2  41.41  50
0 0 4  43.31  59
1 3 -1  47.02  35
1 3 -2  47.19  31

Crystal structure
```
data_Sn2PdPt6
_chemical_formula_sum 'Sn4 Pd2 Pt12'
_space_group_name_H-M_alt 'P -1'
_space_group_IT_number 2
_cell_length_a 6.1570
_cell_length_b 6.1626
_cell_length_c 8.9062
_cell_angle_alpha 104.06
_cell_angle_beta 104.12
_cell_angle_gamma 90.58
loop_
_space_group_symop_operation_xyz
'x,y,z'
'-x,-y,-z'
loop_
_atom_site_label
_atom_site_fract_x
_atom_site_fract_y
_atom_site_fract_z
Sn1 0.0323 0.4707 0.2502
Sn2 0.4135 0.0855 0.2496
Pd1 0.0000 0.0000 0.0000
Pd2 0.5000 0.5000 0.5000
Pt1 0.1102 0.2918 0.5035
Pt2 0.1374 0.0289 0.7369
Pt3 0.2090 0.3894 0.9960
Pt4 0.2844 0.8779 0.4501
Pt5 0.3767 0.7839 0.9489
Pt6 0.4715 0.3615 0.7629
```



(3)
Sn2Pd5Pt2: simulated X-ray diffraction stick pattern (Cu Kα, 1.54184 Å), based on DFT lattice parameters and positions (GGA-PBE).
Intensities are scaled so that the largest is 100.

Principal peaks in the range 10 to 90 degrees two-theta, in order of rising 2θ:
(hkl)  2θ (°)  I (rel.)
3 0 0  32.40  12
0 1 3  39.26  81
0 2 0  39.45  40
3 1 1  39.74  100
3 1 3  51.78  13
3 2 2  57.21  23
0 3 3  71.42  26
3 2 4  71.54  12
3 3 1  71.76  12
6 1 3  81.27  19

Crystal structure
```
data_Sn2Pd5Pt2
_chemical_formula_sum 'Sn4 Pd10 Pt4'
_space_group_name_H-M_alt 'A m m 2'
_space_group_IT_number 38
_cell_length_a 8.2909
_cell_length_b 4.5684
_cell_length_c 7.9625
_cell_angle_alpha 90.00
_cell_angle_beta 90.00
_cell_angle_gamma 90.00
loop_
_space_group_symop_operation_xyz
'x,y,z'
'-x,-y,z'
'-x,y,z'
'x,-y,z'
'x,y+1/2,z+1/2'
'-x,-y+1/2,z+1/2'
'-x,y+1/2,z+1/2'
'x,-y+1/2,z+1/2'
loop_
_atom_site_label
_atom_site_fract_x
_atom_site_fract_y
_atom_site_fract_z
Sn1 0.0000 0.0000 0.0000
Sn2 0.5000 0.0000 0.3333
Pd1 0.1746 0.0000 0.3337
Pd2 0.3259 0.0000 0.9995
Pd3 0.5000 0.0000 0.6658
Pt1 0.1687 0.0000 0.6666
```



(4)
SnPdPt2: simulated X-ray diffraction stick pattern (Cu Kα, 1.54184 Å), based on DFT lattice parameters and positions (GGA-PBE).
Intensities are scaled so that the largest is 100.

Principal peaks in the range 10 to 90 degrees two-theta, in order of rising 2θ:
(hkl)  2θ (°)  I (rel.)
1 0 1  24.36  10
1 1 2  38.47  100
2 0 0  43.80  35
0 0 4  46.50  15
2 1 1  50.75  3
2 2 0  63.68  12
2 0 4  65.79  21
3 1 2  76.92  27
1 1 6  80.82  12
2 2 4  82.43  11

Crystal structure
```
data_SnPdPt2
_chemical_formula_sum 'Sn2 Pd2 Pt4'
_space_group_name_H-M_alt 'I -4 m 2'
_space_group_IT_number 119
_space_group_name_Hall 'I -4 -2'
_cell_length_a 4.1333
_cell_length_b 4.1333
_cell_length_c 7.8117
_cell_angle_alpha 90.00
_cell_angle_beta 90.00
_cell_angle_gamma 90.00
loop_
_atom_site_label
_atom_site_fract_x
_atom_site_fract_y
_atom_site_fract_z
Sn1 0.0000 0.0000 0.0000
Pd1 0.0000 0.5000 0.7500
Pt1 0.0000 0.0000 0.5000
Pt2 0.0000 0.5000 0.2500
```



(5)
Sn6Pd8Pt: simulated X-ray diffraction stick pattern (Cu Kα, 1.54184 Å), based on DFT lattice parameters and positions (GGA-PBE).
Intensities are scaled so that the largest is 100.

Principal peaks in the range 10 to 90 degrees two-theta, in order of rising 2θ:
(hkl)  2θ (°)  I (rel.)
1 1 3  27.99  63
0 0 6  32.87  36
3 -1 1  35.32  19
3 -2 2  36.62  62
3 0 0  39.72  95
1 1 6  40.27  100
2 1 4  41.47  61
4 -1 2  49.55  17
4 -3 4  53.46  17
4 -2 6  57.85  19

Crystal structure
```
data_Sn6Pd8Pt
_chemical_formula_sum 'Sn18 Pd24 Pt3'
_space_group_name_H-M_alt 'R -3'
_space_group_IT_number 148
_space_group_name_Hall '-R 3'
_cell_length_a 7.8600
_cell_length_b 7.8600
_cell_length_c 16.3492
_cell_angle_alpha 90.00
_cell_angle_beta 90.00
_cell_angle_gamma 120.00
loop_
_atom_site_label
_atom_site_fract_x
_atom_site_fract_y
_atom_site_fract_z
Sn1 0.0111 0.3936 0.0839
Pd1 0.0000 0.0000 0.1910
Pd2 0.0121 0.2708 0.9276
Pt1 0.0000 0.0000 0.5000
```



(6)
SnPd2Pt5: simulated X-ray diffraction stick pattern (Cu Kα, 1.54184 Å), based on DFT lattice parameters and positions (GGA-PBE).
Intensities are scaled so that the largest is 100.

Principal peaks in the range 10 to 90 degrees two-theta, in order of rising 2θ:
(hkl)  2θ (°)  I (rel.)
2 0 1  38.85  100
0 4 1  39.07  100
0 0 2  44.99  34
2 4 0  45.45  64
2 4 2  65.88  53
2 0 3  78.87  13
0 4 3  79.01  13
4 4 1  79.38  24
2 8 1  79.80  25
0 8 2  83.94  12

Crystal structure
```
data_SnPd2Pt5
_chemical_formula_sum 'Sn2 Pd4 Pt10'
_space_group_name_H-M_alt 'P b a m'
_space_group_IT_number 55
_cell_length_a 5.6676
_cell_length_b 11.2445
_cell_length_c 4.0295
_cell_angle_alpha 90.00
_cell_angle_beta 90.00
_cell_angle_gamma 90.00
loop_
_space_group_symop_operation_xyz
'x,y,z'
'-x,-y,-z'
'-x,-y,z'
'x,y,-z'
'x+1/2,-y+1/2,-z'
'-x+1/2,y+1/2,z'
'-x+1/2,y+1/2,-z'
'x+1/2,-y+1/2,z'
loop_
_atom_site_label
_atom_site_fract_x
_atom_site_fract_y
_atom_site_fract_z
Sn1 0.0000 0.0000 0.0000
Pd1 0.2385 0.1223 0.5000
Pt1 0.0000 0.5000 0.0000
Pt2 0.0147 0.7522 0.0000
Pt3 0.2350 0.3716 0.5000
```



(7)
SnPd6Pt5: simulated X-ray diffraction stick pattern (Cu Kα, 1.54184 Å), based on DFT lattice parameters and positions (GGA-PBE).
Intensities are scaled so that the largest is 100.

Principal peaks in the range 10 to 90 degrees two-theta, in order of rising 2θ:
(hkl)  2θ (°)  I (rel.)
1 3 2  39.18  100
2 0 0  45.36  17
0 6 0  45.58  16
0 0 4  45.73  16
2 6 0  66.29  16
0 6 4  66.55  11
3 3 2  79.60  13
1 9 2  79.93  13
1 3 6  80.14  13
2 6 4  84.23  11

Crystal structure
```
data_SnPd6Pt5
_chemical_formula_sum 'Sn2 Pd12 Pt10'
_space_group_name_H-M_alt 'C 1 2/m 1'
_space_group_IT_number 12
_cell_length_a 3.9991
_cell_length_b 11.9408
_cell_length_c 7.9357
_cell_angle_alpha 90.00
_cell_angle_beta 90.06
_cell_angle_gamma 90.00
loop_
_space_group_symop_operation_xyz
'x,y,z'
'-x,-y,-z'
'-x,y,-z'
'x,-y,z'
'x+1/2,y+1/2,z'
'-x+1/2,-y+1/2,-z'
'-x+1/2,y+1/2,-z'
'x+1/2,-y+1/2,z'
loop_
_atom_site_label
_atom_site_fract_x
_atom_site_fract_y
_atom_site_fract_z
Sn1 0.0000 0.0000 0.0000
Pd1 0.9996 0.1675 0.2514
Pd2 0.9995 0.5000 0.2491
Pt1 0.0000 0.0000 0.5000
Pt2 0.0000 0.3325 0.0000
Pt3 0.0000 0.3351 0.5000
```



(8)
Sn2Pd2Pt5: simulated X-ray diffraction stick pattern (Cu Kα, 1.54184 Å), based on DFT lattice parameters and positions (GGA-PBE).
Intensities are scaled so that the largest is 100.

Principal peaks in the range 10 to 90 degrees two-theta, in order of rising 2θ:
(hkl)  2θ (°)  I (rel.)
2 0 0  18.54  40
1 4 1  33.40  27
4 0 0  37.60  97
2 5 1  42.26  100
2 0 2  42.53  69
4 5 1  54.24  27
0 5 3  68.31  17
6 5 1  71.03  22
6 0 2  71.22  15
4 5 3  80.67  21

Crystal structure
```
data_Sn2Pd2Pt5
_chemical_formula_sum 'Sn8 Pd8 Pt20'
_space_group_name_H-M_alt 'I m m a'
_space_group_IT_number 74
_space_group_name_Hall '-I 2b 2'
_cell_length_a 9.5729
_cell_length_b 13.8350
_cell_length_c 4.7450
_cell_angle_alpha 90.00
_cell_angle_beta 90.00
_cell_angle_gamma 90.00
loop_
_atom_site_label
_atom_site_fract_x
_atom_site_fract_y
_atom_site_fract_z
Sn1 0.0000 0.0000 0.0000
Sn2 0.0000 0.2500 0.0723
Pd1 0.0000 0.1414 0.5660
Pt1 0.2500 0.0497 0.7500
Pt2 0.2500 0.1489 0.2500
Pt3 0.2500 0.2500 0.7500
```